For Ni2HgBr, a cell relaxed with PBE gives the theoretical XRD peak list in this record (copper Kα).
Peak positions follow from Bragg's law for the DFT cell and can differ from measured ones.

Structural model:
```
data_Ni2HgBr
_chemical_formula_sum 'Ni4 Hg2 Br2'
_space_group_name_H-M_alt 'I m m 2'
_space_group_IT_number 44
_cell_length_a 3.130
_cell_length_b 4.380
_cell_length_c 11.222
_cell_angle_alpha 90.00
_cell_angle_beta 90.00
_cell_angle_gamma 90.00
loop_
_space_group_symop_operation_xyz
'x,y,z'
'-x,-y,z'
'-x,y,z'
'x,-y,z'
'x+1/2,y+1/2,z+1/2'
'-x+1/2,-y+1/2,z+1/2'
'-x+1/2,y+1/2,z+1/2'
'x+1/2,-y+1/2,z+1/2'
loop_
_atom_site_label
_atom_site_type_symbol
_atom_site_fract_x
_atom_site_fract_y
_atom_site_fract_z
Ni1 Ni 0.000 0.000 0.000
Ni2 Ni 0.000 0.500 0.331
Hg1 Hg 0.000 0.000 0.450
Br1 Br 0.000 0.500 0.674
```

Top 10 peaks for 10 to 90 degrees two-theta, by intensity:
hkl, d (Å), 2θ/deg, I/Imax
1 1 2, 2.319, 38.8, 100
0 0 2, 5.611, 15.8, 64
0 1 3, 2.845, 31.4, 50
1 0 1, 3.015, 29.6, 36
0 2 0, 2.190, 41.2, 32
1 1 4, 1.886, 48.3, 30
0 1 7, 1.507, 61.5, 28
0 0 4, 2.806, 31.9, 19
1 0 3, 2.401, 37.5, 18
0 1 5, 1.997, 45.4, 18

For Sc2Zn4Ag3, a cell relaxed with PBE gives the theoretical XRD peak list in this record (copper Kα).
Peak positions follow from Bragg's law for the DFT cell and can differ from measured ones.

Structural model:
```
data_Sc2Zn4Ag3
_chemical_formula_sum 'Sc2 Zn4 Ag3'
_space_group_name_H-M_alt 'P -3 m 1'
_space_group_IT_number 164
_space_group_name_Hall '-P 3 2"'
_cell_length_a 4.5799
_cell_length_b 4.5799
_cell_length_c 8.5062
_cell_angle_alpha 90.00
_cell_angle_beta 90.00
_cell_angle_gamma 120.00
loop_
_atom_site_label
_atom_site_type_symbol
_atom_site_fract_x
_atom_site_fract_y
_atom_site_fract_z
Sc1 Sc 0.3333 0.6667 0.2262
Zn1 Zn 0.0000 0.0000 0.3485
Zn2 Zn 0.3333 0.6667 0.8997
Ag1 Ag 0.0000 0.0000 0.0000
Ag2 Ag 0.3333 0.6667 0.5791
```

Top 10 peaks for 10 to 90 degrees two-theta, by intensity:
hkl, d (Å), 2θ/deg, I/Imax
1 1 0, 2.290, 39.3, 100
1 0 3, 2.307, 39.1, 95
0 2 3, 1.625, 56.6, 30
2 1 3, 1.325, 71.1, 29
1 0 1, 3.595, 24.8, 16
3 0 0, 1.322, 71.3, 16
0 1 6, 1.335, 70.5, 13
2 2 0, 1.145, 84.6, 10
2 0 6, 1.153, 83.9, 8
0 0 2, 4.253, 20.9, 7

For Ho8MgSc2, a cell relaxed with PBE gives the theoretical XRD peak list in this record (copper Kα).
Peak positions follow from Bragg's law for the DFT cell and can differ from measured ones.

Structural model:
```
data_Ho8MgSc2
_chemical_formula_sum 'Ho16 Mg2 Sc4'
_space_group_name_H-M_alt 'A m m 2'
_space_group_IT_number 38
_cell_length_a 5.227
_cell_length_b 12.689
_cell_length_c 10.024
_cell_angle_alpha 90.00
_cell_angle_beta 90.00
_cell_angle_gamma 90.00
loop_
_space_group_symop_operation_xyz
'x,y,z'
'-x,-y,z'
'-x,y,z'
'x,-y,z'
'x,y+1/2,z+1/2'
'-x,-y+1/2,z+1/2'
'-x,y+1/2,z+1/2'
'x,-y+1/2,z+1/2'
loop_
_atom_site_label
_atom_site_type_symbol
_atom_site_fract_x
_atom_site_fract_y
_atom_site_fract_z
Ho1 Ho 0.000 0.000 0.000
Ho2 Ho 0.000 0.000 0.327
Ho3 Ho 0.000 0.242 0.164
Ho4 Ho 0.500 0.138 0.830
Ho5 Ho 0.500 0.139 0.497
Mg1 Mg 0.000 0.000 0.663
Sc1 Sc 0.500 0.118 0.164
```

Top 10 peaks for 10 to 90 degrees two-theta, by intensity:
hkl, d (Å), 2θ/deg, I/Imax
1 4 0, 2.712, 33.0, 100
1 1 3, 2.748, 32.6, 74
0 3 3, 2.622, 34.2, 50
2 0 0, 2.614, 34.3, 48
1 2 2, 3.143, 28.4, 41
2 3 3, 1.851, 49.2, 38
1 1 1, 4.354, 20.4, 31
1 4 6, 1.422, 65.6, 28
1 7 3, 1.524, 60.8, 24
1 0 2, 3.618, 24.6, 21

For Nd4Ag3Ru, a cell relaxed with PBE gives the theoretical XRD peak list in this record (copper Kα).
Peak positions follow from Bragg's law for the DFT cell and can differ from measured ones.

Structural model:
```
data_Nd4Ag3Ru
_chemical_formula_sum 'Nd4 Ag3 Ru1'
_space_group_name_H-M_alt 'P 4/m m m'
_space_group_IT_number 123
_space_group_name_Hall '-P 4 2'
_cell_length_a 3.609
_cell_length_b 3.609
_cell_length_c 15.479
_cell_angle_alpha 90.00
_cell_angle_beta 90.00
_cell_angle_gamma 90.00
loop_
_atom_site_label
_atom_site_type_symbol
_atom_site_fract_x
_atom_site_fract_y
_atom_site_fract_z
Nd1 Nd 0.000 0.000 0.111
Nd2 Nd 0.000 0.000 0.372
Ag1 Ag 0.500 0.500 0.244
Ag2 Ag 0.500 0.500 0.500
Ru1 Ru 0.500 0.500 0.000
```

Top 10 peaks for 10 to 90 degrees two-theta, by intensity:
hkl, d (Å), 2θ/deg, I/Imax
1 0 4, 2.639, 34.0, 100
1 1 0, 2.552, 35.2, 48
2 1 4, 1.489, 62.3, 33
1 1 8, 1.542, 60.0, 17
2 0 0, 1.804, 50.6, 17
2 0 8, 1.320, 71.5, 10
0 0 8, 1.935, 47.0, 9
3 1 0, 1.141, 85.0, 7
3 0 4, 1.149, 84.3, 7
1 0 12, 1.215, 78.8, 6

For RbNa4, a cell relaxed with PBE gives the theoretical XRD peak list in this record (copper Kα).
Peak positions follow from Bragg's law for the DFT cell and can differ from measured ones.

Structural model:
```
data_RbNa4
_chemical_formula_sum 'Rb4 Na16'
_space_group_name_H-M_alt 'C m c m'
_space_group_IT_number 63
_space_group_name_Hall '-C 2c 2'
_cell_length_a 8.929
_cell_length_b 13.958
_cell_length_c 7.877
_cell_angle_alpha 90.00
_cell_angle_beta 90.00
_cell_angle_gamma 90.00
loop_
_atom_site_label
_atom_site_type_symbol
_atom_site_fract_x
_atom_site_fract_y
_atom_site_fract_z
Rb1 Rb 0.000 0.234 0.250
Na1 Na 0.000 0.076 0.750
Na2 Na 0.000 0.323 0.750
Na3 Na 0.198 0.500 0.000
```

Top 10 peaks for 10 to 90 degrees two-theta, by intensity:
hkl, d (Å), 2θ/deg, I/Imax
1 3 1, 3.655, 24.4, 100
2 0 2, 2.953, 30.3, 83
2 2 0, 3.761, 23.7, 80
0 2 2, 3.430, 26.0, 74
1 1 1, 5.440, 16.3, 67
0 4 0, 3.489, 25.5, 38
2 0 0, 4.465, 19.9, 36
3 3 1, 2.389, 37.6, 31
2 4 2, 2.254, 40.0, 27
1 3 3, 2.215, 40.7, 25

For I5Br3, a cell relaxed with PBE gives the theoretical XRD peak list in this record (copper Kα).
Peak positions follow from Bragg's law for the DFT cell and can differ from measured ones.

Structural model:
```
data_I5Br3
_chemical_formula_sum 'I10 Br6'
_space_group_name_H-M_alt 'P 1'
_space_group_IT_number 1
_cell_length_a 7.801
_cell_length_b 9.322
_cell_length_c 13.665
_cell_angle_alpha 75.19
_cell_angle_beta 78.19
_cell_angle_gamma 78.78
loop_
_space_group_symop_operation_xyz
'x,y,z'
loop_
_atom_site_label
_atom_site_type_symbol
_atom_site_fract_x
_atom_site_fract_y
_atom_site_fract_z
I1 I 0.000 0.000 0.000
I2 I 0.001 0.455 0.456
I3 I 0.093 0.422 0.803
I4 I 0.203 0.928 0.289
I5 I 0.297 0.420 0.294
I6 I 0.403 0.548 0.771
I7 I 0.607 0.951 0.506
I8 I 0.671 0.653 0.032
I9 I 0.701 0.945 0.289
I10 I 0.805 0.219 0.474
Br1 Br 0.176 0.774 0.479
Br2 Br 0.230 0.099 0.086
Br3 Br 0.493 0.950 0.705
Br4 Br 0.593 0.382 0.143
Br5 Br 0.764 0.469 0.743
Br6 Br 0.765 0.919 0.909
```

Top 10 peaks for 10 to 90 degrees two-theta, by intensity:
hkl, d (Å), 2θ/deg, I/Imax
-1 1 1, 5.003, 17.7, 100
1 0 2, 5.382, 16.5, 100
0 0 4, 3.255, 27.4, 81
0 2 0, 4.455, 19.9, 74
0 1 3, 4.305, 20.6, 47
1 -1 1, 4.935, 18.0, 47
0 2 2, 4.136, 21.5, 38
0 4 0, 2.227, 40.5, 32
1 3 1, 3.036, 29.4, 30
-1 1 4, 2.812, 31.8, 27